Structure and simulated XRD peak list of Sr3CoC3N3 (a DFT-relaxed cell (GGA-PBE, OQMD); Cu Kα (λ = 1.5418 Å)).
Kinematic intensities with the Lorentz-polarization factor, no thermal factor.

The 8 most intense peaks (10 to 90 degrees two-theta), low angle first:
2θ = 26.4°, intensity 100, (1 1 1)
2θ = 29.0°, intensity 59, (2 0 1)
2θ = 31.5°, intensity 63, (1 2 0)
2θ = 33.3°, intensity 63, (0 0 2)
2θ = 35.8°, intensity 92, (3 0 0)
2θ = 46.5°, intensity 39, (1 2 2)
2θ = 49.7°, intensity 47, (3 0 2)
2θ = 56.0°, intensity 40, (2 3 1)

Crystal structure
a = 8.6799 Å, b = 8.6799 Å, c = 5.3808 Å
α = 90.00°, β = 90.00°, γ = 120.00°
Space group P6_3/m (No. 176)
One atom of each set of equivalent atoms:
Sr: 0.0656 0.3735 0.2500 (multiplicity 6)
Co: 0.3333 0.6667 0.7500 (multiplicity 2)
C: 0.1478 0.4517 0.7500 (multiplicity 6)
N: 0.0210 0.2960 0.7500 (multiplicity 6)

=====

Structure and simulated XRD peak list of Ta8Co2C3N3 (a DFT-relaxed cell (GGA-PBE, OQMD); Cu Kα (λ = 1.5418 Å)).
Kinematic intensities with the Lorentz-polarization factor, no thermal factor.

The 8 most intense peaks (10 to 90 degrees two-theta), low angle first:
2θ = 31.0°, intensity 25, (0 0 8)
2θ = 34.1°, intensity 47, (1 0 2)
2θ = 35.3°, intensity 24, (1 0 3)
2θ = 36.8°, intensity 22, (1 0 4)
2θ = 38.7°, intensity 59, (0 1 5)
2θ = 40.9°, intensity 100, (1 0 6)
2θ = 59.4°, intensity 42, (1 1 0)
2θ = 74.6°, intensity 25, (0 2 6)

Crystal structure
a = 3.1139 Å, b = 3.1139 Å, c = 23.0792 Å
α = 90.00°, β = 90.00°, γ = 120.00°
Space group P-3m1 (No. 164)
One atom of each set of equivalent atoms:
Ta: 0.0000 0.0000 0.1660 (multiplicity 2)
Ta: 0.0000 0.0000 0.3325 (multiplicity 2)
Ta: 0.3333 0.6667 0.5580 (multiplicity 2)
Ta: 0.3333 0.6667 0.9422 (multiplicity 2)
Co: 0.3333 0.6667 0.7537 (multiplicity 2)
C: 0.0000 0.0000 0.5000 (multiplicity 1)
C: 0.3333 0.6667 0.3856 (multiplicity 2)
N: 0.0000 0.0000 0.0000 (multiplicity 1)
N: 0.3333 0.6667 0.1129 (multiplicity 2)

=====

Structure and simulated XRD peak list of CoW3CN (a DFT-relaxed cell (GGA-PBE, OQMD); Cu Kα (λ = 1.5418 Å)).
Kinematic intensities with the Lorentz-polarization factor, no thermal factor.

The 8 most intense peaks (10 to 90 degrees two-theta), low angle first:
2θ = 27.2°, intensity 31, (0 0 6)
2θ = 36.5°, intensity 71, (0 0 8)
2θ = 37.3°, intensity 18, (1 0 2)
2θ = 40.7°, intensity 100, (1 0 4)
2θ = 43.1°, intensity 53, (0 1 5)
2θ = 56.0°, intensity 24, (0 1 9)
2θ = 65.1°, intensity 29, (1 1 0)
2θ = 77.0°, intensity 23, (1 1 8)

Crystal structure
a = 2.8674 Å, b = 2.8674 Å, c = 19.6790 Å
α = 90.00°, β = 90.00°, γ = 120.00°
Space group P-3m1 (No. 164)
One atom of each set of equivalent atoms:
Co: 0.0000 0.0000 0.2467 (multiplicity 2)
W: 0.0000 0.0000 0.0000 (multiplicity 1)
W: 0.0000 0.0000 0.5000 (multiplicity 1)
W: 0.3333 0.6667 0.6481 (multiplicity 2)
W: 0.3333 0.6667 0.8601 (multiplicity 2)
C: 0.3333 0.6667 0.0722 (multiplicity 2)
N: 0.3333 0.6667 0.4245 (multiplicity 2)